Diffraction record for La4Sm15Ho. The powder X-ray diffraction pattern is calculated, not measured: it uses a DFT-relaxed cell (PBE, Alexandria) and Cu Kα.

Crystal structure
Cell lengths 5.1656, 5.1656, 25.7812 Å; angles 90.00, 90.00, 90.00 degrees
Atoms (fractional coordinates):
La 0.0000 0.0000 0.1006
La 0.0000 0.0000 0.3011
La 0.0000 0.0000 0.6989
La 0.0000 0.0000 0.8994
Sm 0.0000 0.5000 0.0000
Sm 0.0000 0.5000 0.2010
Sm 0.0000 0.5000 0.4023
Sm 0.0000 0.5000 0.5977
Sm 0.0000 0.5000 0.7990
Sm 0.5000 0.0000 0.0000
Sm 0.5000 0.0000 0.2010
Sm 0.5000 0.0000 0.4023
Sm 0.5000 0.0000 0.5977
Sm 0.5000 0.0000 0.7990
Sm 0.5000 0.5000 0.1005
Sm 0.5000 0.5000 0.3020
Sm 0.5000 0.5000 0.5000
Sm 0.5000 0.5000 0.6980
Sm 0.5000 0.5000 0.8995
Ho 0.0000 0.0000 0.5000

Top 10 peaks for 10 to 90 degrees two-theta, in order of rising 2θ:
| d/Å | intensity | hkl |
| --- | --- | --- |
| 2.981 | 100 | 1 1 5 |
| 2.581 | 51 | 2 0 0 |
| 1.825 | 36 | 2 2 0 |
| 1.557 | 43 | 3 1 5 |
| 1.490 | 12 | 2 2 10 |
| 1.291 | 4 | 4 0 0 |
| 1.184 | 17 | 3 3 5 |
| 1.155 | 5 | 4 2 0 |
| 1.155 | 5 | 4 0 10 |
| 1.153 | 5 | 2 0 20 |